(1)
Diffraction record for BaCa2N2. The X-ray diffraction stick pattern is theoretical, not measured: it uses a structure optimized by DFT (GGA-PBE) and λ = 1.5418 Å (Cu Kα).

Crystal structure
```
data_BaCa2N2
_cell_length_a 7.876
_cell_length_b 7.876
_cell_length_c 6.870
_cell_angle_alpha 90.00
_cell_angle_beta 90.00
_cell_angle_gamma 90.00
_symmetry_space_group_name_H-M 'I 4/m c m'
_symmetry_Int_Tables_number 140
_symmetry_space_group_name_Hall '-I 4 2c'
loop_
_atom_site_label
_atom_site_type_symbol
_atom_site_fract_x
_atom_site_fract_y
_atom_site_fract_z
Ba1 Ba 0.000 0.000 0.250
Ca1 Ca 0.128 0.372 0.000
N1 N 0.167 0.333 0.500
```

Largest 10 diffraction maxima, in order of rising 2θ, 10 to 90 degrees two-theta:
(1 1 0), 2θ 15.91, intensity 49; (2 0 0), 2θ 22.58, intensity 42; (1 1 2), 2θ 30.58, intensity 100; (2 2 0), 2θ 32.14, intensity 26; (2 0 2), 2θ 34.65, intensity 49; (3 1 0), 2θ 36.06, intensity 71; (2 2 2), 2θ 41.76, intensity 20; (4 0 2), 2θ 53.65, intensity 31; (3 3 2), 2θ 56.33, intensity 21; (3 1 4), 2θ 66.08, intensity 22



(2)
Diffraction record for Ba14Na8CaN6. The X-ray diffraction stick pattern is theoretical, not measured: it uses a structure optimized by DFT (GGA-PBE) and λ = 1.5418 Å (Cu Kα).

Crystal structure
```
data_Ba14Na8CaN6
_cell_length_a 11.4701
_cell_length_b 11.4701
_cell_length_c 21.6764
_cell_angle_alpha 90.00
_cell_angle_beta 90.00
_cell_angle_gamma 120.00
_symmetry_space_group_name_H-M 'P 63/m'
_symmetry_Int_Tables_number 176
_symmetry_space_group_name_Hall '-P 6c'
loop_
_atom_site_label
_atom_site_type_symbol
_atom_site_fract_x
_atom_site_fract_y
_atom_site_fract_z
Ba1 Ba 0.0000 0.0000 0.1515
Ba2 Ba 0.0358 0.7454 0.0498
Ba3 Ba 0.0477 0.6707 0.6384
Na1 Na 0.0390 0.6858 0.2500
Na2 Na 0.3333 0.6667 0.1646
Na3 Na 0.3333 0.6667 0.5091
Na4 Na 0.3333 0.6667 0.7500
Ca1 Ca 0.0000 0.0000 0.0000
N1 N 0.0254 0.8317 0.5683
```

Largest 10 diffraction maxima, in order of rising 2θ, 10 to 90 degrees two-theta:
(1 1 1), 2θ 15.99, intensity 15; (2 1 0), 2θ 23.70, intensity 20; (1 1 5), 2θ 25.76, intensity 100; (1 2 3), 2θ 26.76, intensity 17; (3 0 0), 2θ 26.93, intensity 69; (2 0 5), 2θ 27.31, intensity 14; (2 1 4), 2θ 28.93, intensity 14; (3 1 0), 2θ 32.50, intensity 17; (2 2 5), 2θ 37.62, intensity 20; (3 0 10), 2θ 50.29, intensity 19



(3)
Diffraction record for Ba14Na7CaN6. The X-ray diffraction stick pattern is theoretical, not measured: it uses a structure optimized by DFT (GGA-PBE) and λ = 1.5418 Å (Cu Kα).

Crystal structure
```
data_Ba14Na7CaN6
_cell_length_a 11.4028
_cell_length_b 11.4028
_cell_length_c 63.3162
_cell_angle_alpha 90.00
_cell_angle_beta 90.00
_cell_angle_gamma 120.00
_symmetry_space_group_name_H-M 'R -3 c'
_symmetry_Int_Tables_number 167
_symmetry_space_group_name_Hall '-R 3 2"c'
loop_
_atom_site_label
_atom_site_type_symbol
_atom_site_fract_x
_atom_site_fract_y
_atom_site_fract_z
Ba1 Ba 0.0000 0.0000 0.0527
Ba2 Ba 0.0105 0.2757 0.1200
Ba3 Ba 0.0382 0.4202 0.6494
Na1 Na 0.0000 0.0000 0.1647
Na2 Na 0.0000 0.0000 0.2217
Na3 Na 0.0000 0.2907 0.2500
Ca1 Ca 0.0000 0.0000 0.0000
N1 N 0.0340 0.1982 0.0235
```

Largest 10 diffraction maxima, in order of rising 2θ, 10 to 90 degrees two-theta:
(0 2 10), 2θ 22.84, intensity 20; (2 1 1), 2θ 23.88, intensity 26; (1 2 5), 2θ 24.87, intensity 23; (2 1 7), 2θ 25.82, intensity 17; (1 1 15), 2θ 26.27, intensity 100; (1 2 8), 2θ 26.40, intensity 25; (3 0 0), 2θ 27.09, intensity 55; (1 3 1), 2θ 32.76, intensity 24; (2 0 20), 2θ 33.63, intensity 20; (3 2 7), 2θ 41.07, intensity 19



What did the second record say?
Diffraction record for Ba14Na8CaN6. The X-ray diffraction stick pattern is theoretical, not measured: it uses a structure optimized by DFT (GGA-PBE) and λ = 1.5418 Å (Cu Kα).

Crystal structure
```
data_Ba14Na8CaN6
_cell_length_a 11.4701
_cell_length_b 11.4701
_cell_length_c 21.6764
_cell_angle_alpha 90.00
_cell_angle_beta 90.00
_cell_angle_gamma 120.00
_symmetry_space_group_name_H-M 'P 63/m'
_symmetry_Int_Tables_number 176
_symmetry_space_group_name_Hall '-P 6c'
loop_
_atom_site_label
_atom_site_type_symbol
_atom_site_fract_x
_atom_site_fract_y
_atom_site_fract_z
Ba1 Ba 0.0000 0.0000 0.1515
Ba2 Ba 0.0358 0.7454 0.0498
Ba3 Ba 0.0477 0.6707 0.6384
Na1 Na 0.0390 0.6858 0.2500
Na2 Na 0.3333 0.6667 0.1646
Na3 Na 0.3333 0.6667 0.5091
Na4 Na 0.3333 0.6667 0.7500
Ca1 Ca 0.0000 0.0000 0.0000
N1 N 0.0254 0.8317 0.5683
```

Largest 10 diffraction maxima, in order of rising 2θ, 10 to 90 degrees two-theta:
(1 1 1), 2θ 15.99, intensity 15; (2 1 0), 2θ 23.70, intensity 20; (1 1 5), 2θ 25.76, intensity 100; (1 2 3), 2θ 26.76, intensity 17; (3 0 0), 2θ 26.93, intensity 69; (2 0 5), 2θ 27.31, intensity 14; (2 1 4), 2θ 28.93, intensity 14; (3 1 0), 2θ 32.50, intensity 17; (2 2 5), 2θ 37.62, intensity 20; (3 0 10), 2θ 50.29, intensity 19